(1)
Starting from a cell relaxed with PBE, the powder diffraction line list of ErTlGa4 was computed for Cu Kα (weighted mean of Kα1 and Kα2).
Intensities are scaled so that the largest is 100.

Top 8 peaks for 2θ from 15° to 90°, low angle first:
d (Å), Rel. int.
4.589, 13
2.810, 63
2.397, 100
2.294, 16
1.622, 25
1.530, 33
1.405, 24
1.212, 11

Structure:
Cell: 5.6203 5.6203 5.6203 Å, 60.00 60.00 60.00°
Fractional positions:
1 Er 0.0000 0.0000 0.0000
2 Tl 0.2500 0.2500 0.2500
3 Ga 0.1236 0.6255 0.6255
4 Ga 0.6255 0.1236 0.6255
5 Ga 0.6255 0.6255 0.1236
6 Ga 0.6255 0.6255 0.6255

---

(2)
Starting from a cell relaxed with PBE, the powder diffraction line list of Er5Tl2Ga2 was computed for Cu Kα (weighted mean of Kα1 and Kα2).
Intensities are scaled so that the largest is 100.

Top 8 peaks for 2θ from 15° to 90°, low angle first:
d (Å), Rel. int.
2.881, 39
2.777, 71
2.761, 100
2.713, 55
2.610, 40
2.408, 27
2.390, 26
1.575, 24

Structure:
Cell: 8.8871 8.8871 7.6364 Å, 90.00 90.00 51.41°
Fractional positions:
1 Er 0.0000 0.0000 0.0000
2 Er 0.0563 0.6872 0.6778
3 Er 0.1872 0.5563 0.1778
4 Er 0.3128 0.9437 0.6778
5 Er 0.4437 0.8128 0.1778
6 Er 0.5000 0.5000 0.5000
7 Er 0.5563 0.1872 0.8222
8 Er 0.6872 0.0563 0.3222
9 Er 0.8128 0.4437 0.8222
10 Er 0.9437 0.3128 0.3222
11 Tl 0.2208 0.2208 0.0000
12 Tl 0.2792 0.2792 0.5000
13 Tl 0.7208 0.7208 0.5000
14 Tl 0.7792 0.7792 0.0000
15 Ga 0.1192 0.8808 0.3792
16 Ga 0.3808 0.6192 0.8792
17 Ga 0.6192 0.3808 0.1208
18 Ga 0.8808 0.1192 0.6208